Simulated powder diffraction line list of Tb3Sm2In2 for a wavelength of 1.5418 Å, from a structure optimized by DFT (GGA-PBE).
Lines closer than 0.1° are merged.

Most intense lines, 10° ≤ 2θ ≤ 90°, sorted by position:
2theta  I (rel.)
31.63  1000
32.06  817
33.77  355
37.72  319
39.10  313
51.54  147
55.46  225
62.71  279
65.99  272
66.54  132

Structure:
a b c (Å): 12.5285 12.5285 3.4784
angles (deg): 90.00 90.00 158.06
Sites, in units of the cell vectors:
Tb 0.0000 0.0000 0.0000
Tb 0.1372 0.8628 0.0000
Tb 0.8628 0.1372 0.0000
Sm 0.2887 0.7113 0.5000
Sm 0.7113 0.2887 0.5000
In 0.4296 0.5704 0.5000
In 0.5704 0.4296 0.5000